Starting from a cell relaxed with PBE, the powder diffraction line list of K4Pb was computed for Cu Kα (λ = 1.5418 Å).
Peak positions follow from Bragg's law for the DFT cell and can differ from measured ones.

Structural model:
```
data_K4Pb
_cell_length_a 20.5169
_cell_length_b 17.4092
_cell_length_c 13.4893
_cell_angle_alpha 90.00
_cell_angle_beta 127.25
_cell_angle_gamma 90.00
_space_group_name_H-M_alt 'C 1 2/c 1'
_space_group_IT_number 15
_space_group_name_Hall '-C 2yc'
loop_
_atom_site_label
_atom_site_type_symbol
_atom_site_fract_x
_atom_site_fract_y
_atom_site_fract_z
K1 K 0.0000 0.1114 0.2500
K2 K 0.1140 0.4530 0.9479
K3 K 0.1164 0.2127 0.0765
K4 K 0.1203 0.1210 0.7856
K5 K 0.1210 0.3444 0.6447
K6 K 0.2127 0.0298 0.6083
K7 K 0.2500 0.2500 0.5000
Pb1 Pb 0.0000 0.2872 0.7500
Pb2 Pb 0.2051 0.0726 0.3343
```

The 6 most intense peaks (10 to 80 degrees two-theta), by angle:
| 2θ (°) | d/Å | I_rel |
| --- | --- | --- |
| 13.1 | 6.758 | 76 |
| 14.0 | 6.324 | 54 |
| 14.8 | 5.967 | 88 |
| 26.8 | 3.324 | 100 |
| 27.8 | 3.205 | 43 |
| 28.5 | 3.135 | 57 |